This entry pairs a crystal structure of CuPbBrO2 with its computed powder diffraction line list. Radiation: Cu Kα (weighted mean of Kα1 and Kα2). Structure: DFT lattice parameters and positions (GGA-PBE).
Kinematic intensities with the Lorentz-polarization factor, no thermal factor.

Most intense lines, 10° ≤ 2θ ≤ 90°, in order of falling intensity:
2θ (°)	Rel. int.
28.95	100.0
28.51	94.4
35.29	58.9
41.41	55.8
50.21	45.2
51.04	39.3

Structural model:
Unit cell a=4.3613 b=4.3613 c=4.4970 alpha=90.00 beta=90.00 gamma=90.00
Space group P4/mmm (No. 123)
Asymmetric unit:
Cu1 0.0000 0.0000 0.0000
Pb1 0.5000 0.5000 0.0000
Br1 0.0000 0.0000 0.5000
O1 0.0000 0.5000 0.5000

---

This entry pairs a crystal structure of Rb2Zn2BiO6 with its computed powder diffraction line list. Radiation: Cu Kα (weighted mean of Kα1 and Kα2). Structure: DFT lattice parameters and positions (GGA-PBE).
Kinematic intensities with the Lorentz-polarization factor, no thermal factor.

Most intense lines, 10° ≤ 2θ ≤ 90°, in order of falling intensity:
2θ (°)	Rel. int.
42.37	100.0
22.79	80.6
32.15	78.5
13.33	49.3
26.85	41.3
65.46	26.6

Structural model:
Unit cell a=5.5683 b=5.5683 c=6.6404 alpha=90.00 beta=90.00 gamma=120.00
Space group P-31m (No. 162)
Asymmetric unit:
Rb1 0.3333 0.6667 0.0000
Zn1 0.3333 0.6667 0.5000
Bi1 0.0000 0.0000 0.5000
O1 0.0000 0.3338 0.3336